Structure and calculated powder diffraction line list of Ac6AgHg (the GGA-PBE geometry in Alexandria; CuKα).

The 6 most intense peaks (2θ from 10° to 80°), by angle:
| 2θ (°) | I_rel | h k l |
| --- | --- | --- |
| 28.95 | 100 | 1 1 4 |
| 31.67 | 47 | 2 0 0 |
| 42.49 | 9 | 2 0 6 |
| 45.39 | 18 | 2 2 0 |
| 49.54 | 14 | 2 0 8 |
| 54.74 | 35 | 3 1 4 |

Cell and atoms:
Cell lengths 5.651, 5.651, 19.395 Å; angles 90.00, 90.00, 90.00 degrees
Space group I4/mmm (No. 139)
Symmetry-distinct sites (fractional):
Ac: 0.000 0.000 0.249 (multiplicity 4)
Ac: 0.000 0.500 0.104 (multiplicity 8)
Ag: 0.000 0.000 0.500 (multiplicity 2)
Hg: 0.000 0.000 0.000 (multiplicity 2)